Diffraction record for KLiWO3. The powder diffraction line list is computed, not measured: it uses a PBE+U-relaxed structure and Cu Kα (weighted mean of Kα1 and Kα2).
Kinematic intensities with the Lorentz-polarization factor, no thermal factor.

Structure:
```
KLiWO3
1.0
3.1429 -2.9053 0.0000
3.1429 2.9053 0.0000
-0.5581 0.0000 4.1632
K Li W O
1 1 1 3
direct
0.0000 0.0000 0.0000
0.2886 0.2886 0.6951
0.5989 0.5989 0.3978
0.0898 0.5751 0.4185
0.5751 0.0898 0.4185
0.5754 0.5754 0.9060
```

Top 10 peaks for 10° ≤ 2θ ≤ 80°, by intensity:
d (Å)  I (rel.)
4.249  100
3.117  81
2.848  61
4.163  48
2.125  35
2.905  32
1.966  22
1.956  22
1.940  21
1.691  19